# 1
# GePdSe2N
Simulated powder diffractogram, CuKα. Input: a PBE-relaxed structure.

The 10 most intense peaks (5° ≤ 2θ ≤ 70°), sorted by position:
two_theta, Rel. int.
24.0, 32
29.5, 68
34.3, 31
34.5, 100
42.4, 28
46.0, 41
49.1, 18
49.5, 35
55.8, 13
61.3, 36

```
GePdSe2N
1.0
5.2040 0.0000 0.0000
0.0000 5.2040 0.0000
0.0000 0.0000 3.7141
Ge Pd Se N
1 1 2 1
Cartesian
0.0000 0.0000 0.0000
2.6020 2.6020 1.8570
0.0000 2.6020 1.8570
2.6020 0.0000 1.8570
2.6020 2.6020 0.0000
```

***

# 2
# Sm4AlZn2In
Simulated powder diffractogram, CuKα. Input: a PBE-relaxed structure.

The 10 most intense peaks (5° ≤ 2θ ≤ 70°), sorted by position:
two_theta, Rel. int.
10.3, 1
19.8, 2
24.0, 15
26.1, 2
31.3, 2
34.1, 100
42.1, 5
49.1, 18
55.3, 6
61.1, 36

```
Sm4AlZn2In
1.0
2.6250 1.5156 8.5850
-2.6250 1.5156 8.5850
0.0000 -3.0311 8.5850
Sm Al Zn In
4 1 2 1
Cartesian
0.0000 0.0000 3.1396
0.0000 0.0000 9.5781
0.0000 0.0000 16.1769
0.0000 0.0000 22.6154
0.0000 0.0000 0.0000
0.0000 0.0000 6.4371
0.0000 0.0000 19.3180
0.0000 0.0000 12.8775
```

***

# 3
# Li7In3Ag2
Simulated powder diffractogram, CuKα. Input: a PBE-relaxed structure.

The 10 most intense peaks (5° ≤ 2θ ≤ 70°), sorted by position:
two_theta, Rel. int.
5.9, 32
11.9, 18
17.9, 100
19.3, 19
33.8, 48
34.9, 37
36.8, 34
37.0, 27
38.6, 33
51.5, 18

```
Li7In3Ag2
1.0
4.6655 0.0000 0.0000
0.0000 3.2365 0.0000
-2.2617 0.0000 14.8615
Li In Ag
7 3 2
Cartesian
0.0000 0.0000 0.0000
0.0133 1.6183 2.6448
0.0352 1.6183 7.9591
0.0668 0.0000 12.6341
2.3370 0.0000 2.2275
2.3686 1.6183 6.9024
2.3905 1.6183 12.2168
0.0231 0.0000 5.3300
2.3327 1.6183 0.0000
2.3807 0.0000 9.5315
0.0481 1.6183 10.5574
2.3557 1.6183 4.3041
```

***

# 4
# Ac3Tl5Rh6
Simulated powder diffractogram, CuKα. Input: a PBE-relaxed structure.

The 10 most intense peaks (5° ≤ 2θ ≤ 70°), sorted by position:
two_theta, Rel. int.
27.1, 100
32.6, 68
32.9, 60
33.3, 67
35.5, 51
37.9, 39
38.0, 72
42.1, 39
51.4, 41
62.6, 38

```
Ac3Tl5Rh6
1.0
-2.3686 4.9911 6.8663
2.3686 -4.9911 6.8663
2.3686 4.9911 -6.8663
Ac Tl Rh
3 5 6
Cartesian
0.0000 0.0000 0.0000
0.0000 0.0000 4.4710
0.0000 0.0000 9.2617
2.3686 -1.5727 2.5015
2.3686 1.5727 2.5015
0.0000 4.9911 0.0000
0.0000 3.4184 4.3648
0.0000 6.5638 4.3648
2.3686 -2.3292 5.4127
2.3686 2.9329 0.0000
0.0000 2.6619 1.4536
2.3686 2.3292 5.4127
0.0000 2.0582 6.8663
0.0000 7.3203 1.4536
```

***

# 5
# RbLi3Ta4O12
Simulated powder diffractogram, CuKα. Input: a PBE-relaxed structure.

The 10 most intense peaks (5° ≤ 2θ ≤ 70°), sorted by position:
two_theta, Rel. int.
16.2, 6
23.0, 93
32.7, 100
36.7, 4
40.4, 16
43.8, 4
47.0, 27
52.9, 40
58.4, 47
68.6, 15

```
RbLi3Ta4O12
1.0
-3.8702 3.8702 3.8702
3.8702 -3.8702 3.8702
3.8702 3.8702 -3.8702
Rb Li Ta O
1 3 4 12
Cartesian
0.0000 0.0000 0.0000
3.8702 0.0000 0.0000
0.0000 3.8702 0.0000
0.0000 0.0000 3.8702
1.9351 1.9351 -1.9351
1.9351 -1.9351 1.9351
-1.9351 1.9351 1.9351
1.9351 1.9351 1.9351
3.8702 2.3276 -1.5627
2.3075 0.0000 1.5426
5.4329 0.0000 1.5426
1.5426 2.3075 0.0000
2.3276 -1.5627 3.8702
0.0000 1.5426 2.3075
3.8702 2.3276 1.5627
1.5426 5.4329 0.0000
2.3276 1.5627 3.8702
-1.5627 3.8702 2.3276
1.5627 3.8702 2.3276
0.0000 1.5426 5.4329
```

***

# 6
# Y3Ho2Tm6
Simulated powder diffractogram, CuKα. Input: a PBE-relaxed structure.

The 10 most intense peaks (5° ≤ 2θ ≤ 70°), sorted by position:
two_theta, Rel. int.
10.8, 27
19.1, 22
29.1, 100
32.8, 24
34.8, 96
38.4, 63
51.4, 27
55.5, 23
63.8, 21
67.2, 29

```
Y3Ho2Tm6
1.0
-2.3428 2.3428 16.4007
2.3428 -2.3428 16.4007
2.3428 2.3428 -16.4007
Y Ho Tm
3 2 6
Cartesian
0.0000 0.0000 0.0000
0.0000 0.0000 6.6475
0.0000 0.0000 26.1540
0.0000 0.0000 14.8808
0.0000 0.0000 17.9206
2.3428 0.0000 3.9658
0.0000 0.0000 10.0756
2.3428 0.0000 12.4349
0.0000 2.3428 3.9658
0.0000 0.0000 22.7258
0.0000 2.3428 12.4349
```

***

# 7
# KBa4Ti5O14F
Simulated powder diffractogram, CuKα. Input: a PBE-relaxed structure.

The 10 most intense peaks (5° ≤ 2θ ≤ 70°), sorted by position:
two_theta, Rel. int.
22.2, 12
31.3, 100
31.6, 50
38.7, 36
44.5, 19
45.2, 37
55.6, 19
56.1, 37
65.4, 22
65.9, 11

```
KBa4Ti5O14F
1.0
4.0083 0.0000 0.0000
0.0000 4.0083 0.0000
0.0000 0.0000 20.3447
K Ba Ti O F
1 4 5 14 1
Cartesian
0.0000 0.0000 0.0000
0.0000 0.0000 4.0418
0.0000 0.0000 8.1382
0.0000 0.0000 12.2065
0.0000 0.0000 16.3029
2.0041 2.0041 2.1415
2.0041 2.0041 6.1330
2.0041 2.0041 10.1723
2.0041 2.0041 14.2117
2.0041 2.0041 18.2031
0.0000 2.0041 2.0844
0.0000 2.0041 6.1235
0.0000 2.0041 10.1723
0.0000 2.0041 14.2212
0.0000 2.0041 18.2603
2.0041 0.0000 2.0844
2.0041 0.0000 6.1235
2.0041 0.0000 10.1723
2.0041 0.0000 14.2212
2.0041 0.0000 18.2603
2.0041 2.0041 4.0868
2.0041 2.0041 8.1447
2.0041 2.0041 12.2000
2.0041 2.0041 16.2579
2.0041 2.0041 0.0000
```

***

# 8
# Ho5Er4Tm3
Simulated powder diffractogram, CuKα. Input: a PBE-relaxed structure.

The 8 most intense peaks (5° ≤ 2θ ≤ 70°), sorted by position:
two_theta, Rel. int.
31.3, 100
36.3, 51
52.2, 18
52.3, 18
62.2, 18
62.2, 25
65.2, 3
65.3, 9

```
Ho5Er4Tm3
1.0
6.0590 0.0000 0.0000
0.0102 7.0085 0.0000
0.0073 0.0063 8.5652
Ho Er Tm
5 4 3
Cartesian
0.0000 0.0000 0.0000
2.0272 3.5082 5.7079
3.0413 1.7585 8.5647
3.0353 5.2562 0.0006
4.0493 3.5066 2.8573
1.0139 1.7543 2.8559
2.0358 7.0122 5.7074
4.0407 0.0026 2.8578
5.0627 5.2604 5.7093
0.0051 3.5042 0.0000
1.0200 5.2584 2.8562
5.0565 1.7564 5.7090
```

***

# 9
# TlZn2Te3
Simulated powder diffractogram, CuKα. Input: a PBE-relaxed structure.

The 10 most intense peaks (5° ≤ 2θ ≤ 70°), sorted by position:
two_theta, Rel. int.
23.8, 100
24.8, 7
28.0, 4
31.5, 9
39.1, 23
39.4, 48
46.3, 27
46.7, 15
56.5, 6
62.5, 9

```
TlZn2Te3
1.0
0.0000 13.8329 6.4377
4.6014 0.0000 6.4377
4.6014 13.8329 0.0000
Tl Zn Te
4 8 12
Cartesian
4.6122 9.0240 6.4377
6.8913 15.9405 9.6565
4.5906 18.6417 6.4377
6.9130 25.5582 9.6565
2.2554 2.3646 3.0858
4.5561 4.5518 6.3046
2.3007 6.9164 3.1094
2.3460 11.4683 3.0858
4.6014 13.8329 6.3518
6.9021 20.7493 9.5706
4.6467 23.1139 6.3046
4.6014 13.8329 12.7659
1.9883 4.6500 1.6645
4.6033 6.5569 4.5336
2.6131 9.1829 1.6645
4.3345 11.6660 4.8414
6.9002 13.4733 7.7524
4.8683 15.9997 4.8414
7.1690 18.5825 8.0602
4.5995 21.1089 4.5336
6.6352 22.9162 8.0602
4.9138 11.5664 11.3210
2.3026 14.1925 7.7524
4.2890 16.0993 11.3210
```

***

# 10
# Nd3ErSc2
Simulated powder diffractogram, CuKα. Input: a PBE-relaxed structure.

The 10 most intense peaks (5° ≤ 2θ ≤ 70°), sorted by position:
two_theta, Rel. int.
20.0, 23
31.2, 100
31.2, 97
36.0, 67
36.4, 32
51.9, 25
52.2, 45
61.8, 53
62.3, 26
65.0, 23

```
Nd3ErSc2
1.0
8.6059 -3.5247 0.0000
8.6059 3.5247 0.0000
-0.0602 0.0000 6.0657
Nd Er Sc
6 2 4
Cartesian
8.5607 2.6572 4.5493
5.6617 0.8882 3.5573
5.6917 -0.8882 0.5245
11.4598 0.8882 5.5412
11.4899 -0.8882 2.5084
8.5908 -2.6572 1.5164
8.5908 0.8953 1.5164
8.5607 -0.8953 4.5493
2.8265 0.8727 5.5749
2.8566 -0.8727 2.5420
14.2949 0.8727 3.5237
14.3250 -0.8727 0.4908
```